This entry pairs a crystal structure of YVO2F with its simulated powder diffraction line list. Radiation: CuKα. Structure: the GGA+U geometry in Alexandria.
Intensities are scaled so that the largest is 100.

Principal peaks in the range 5 to 70 degrees two-theta, in order of rising 2θ:
Position (°2θ)	Rel. int.
22.0	3.2
31.3	58.7
32.1	100.0
39.2	33.2
44.9	46.9
47.0	20.2
56.2	38.9
57.6	20.0
65.4	13.3
67.0	24.5

Structural model:
abc: 4.0370 4.0370 3.8663
angles: 90.00 90.00 90.00
Fractional positions:
Y1 0.0000 0.0000 0.0000
V1 0.5000 0.5000 0.5000
O1 0.0000 0.5000 0.5000
O2 0.5000 0.0000 0.5000
F1 0.5000 0.5000 0.0000

This entry pairs a crystal structure of Ba4Pa3NiO12 with its simulated powder diffraction line list. Radiation: CuKα. Structure: the GGA+U geometry in Alexandria.
Intensities are scaled so that the largest is 100.

Principal peaks in the range 5 to 70 degrees two-theta, in order of rising 2θ:
Position (°2θ)	Rel. int.
14.2	9.0
20.2	6.5
24.8	5.1
28.7	100.0
38.3	3.3
41.0	28.4
46.1	3.1
50.8	42.3
59.4	18.5
67.3	18.7

Structural model:
abc: 7.6192 7.6192 7.6192
angles: 109.47 109.47 109.47
Fractional positions:
Ba1 0.0000 0.0000 0.5000
Ba2 0.0000 0.5000 0.0000
Ba3 0.5000 0.0000 0.0000
Ba4 0.5000 0.5000 0.5000
Pa1 0.0000 0.5000 0.5000
Pa2 0.5000 0.0000 0.5000
Pa3 0.5000 0.5000 0.0000
Ni1 0.0000 0.0000 0.0000
O1 0.0000 0.2541 0.2541
O2 0.0000 0.7459 0.7459
O3 0.2500 0.5000 0.7500
O4 0.2500 0.7500 0.5000
O5 0.2541 0.0000 0.2541
O6 0.2541 0.2541 0.0000
O7 0.5000 0.2500 0.7500
O8 0.5000 0.7500 0.2500
O9 0.7459 0.0000 0.7459
O10 0.7459 0.7459 0.0000
O11 0.7500 0.2500 0.5000
O12 0.7500 0.5000 0.2500